No. 1
Structure and computed powder diffraction line list of TiGa2Pd3 (DFT lattice parameters and positions (GGA-PBE); Cu Ka).

a b c (Å): 4.4137 4.4137 10.8281
angles (deg): 90.00 90.00 120.00
Space group P-3m1 (No. 164)
Symmetry-distinct sites (fractional):
Ti1 0.3333 0.6667 0.1697
Ga1 0.0000 0.0000 0.0000
Ga2 0.0000 0.0000 0.5000
Ga3 0.3333 0.6667 0.6781
Pd1 0.0000 0.0000 0.2613
Pd2 0.3333 0.6667 0.4227
Pd3 0.3333 0.6667 0.9238

Principal peaks in the range 2θ from 10° to 90°, sorted by position:
2θ/deg	I/Imax	hkl
24.68	12	0 0 3
28.59	84	0 1 2
40.87	1000	1 1 0
48.34	9	1 1 3
50.63	23	2 0 2
53.58	7	1 1 4
59.18	160	0 2 4
67.02	29	1 2 2
74.41	232	2 1 4
74.47	82	3 0 0
88.52	47	2 0 8
88.64	53	2 2 0


No. 2
Structure and computed powder diffraction line list of Ti3Ga5Pd (DFT lattice parameters and positions (GGA-PBE); Cu Ka).

a b c (Å): 7.8549 7.8549 5.3958
angles (deg): 90.00 90.00 120.00
Space group P6_3/mcm (No. 193)
Symmetry-distinct sites (fractional):
Ti1 0.0000 0.3764 0.2500
Ga1 0.0000 0.2859 0.7500
Ga2 0.3333 0.6667 0.0000
Pd1 0.0000 0.0000 0.0000

Principal peaks in the range 2θ from 10° to 90°, sorted by position:
2θ/deg	I/Imax	hkl
13.01	142	1 0 0
22.64	102	1 1 0
38.80	270	2 1 1
39.75	850	3 0 0
40.57	1000	1 1 2
51.30	68	3 1 1
58.10	285	2 2 2
69.71	67	0 0 4
72.15	75	3 3 0
72.70	238	4 1 2
80.63	67	5 1 1
83.36	181	3 0 4


No. 3
Structure and computed powder diffraction line list of Ti7GaPd12 (DFT lattice parameters and positions (GGA-PBE); Cu Ka).

a b c (Å): 9.8454 9.8454 11.6537
angles (deg): 90.00 90.00 120.00
Space group R-3 (No. 148, hexagonal axes)
Symmetry-distinct sites (fractional):
Ti1 0.0000 0.0000 0.0000
Ti2 0.0250 0.1916 0.3035
Ga1 0.0000 0.0000 0.5000
Pd1 0.0288 0.4563 0.1926
Pd2 0.0730 0.5906 0.5881

Principal peaks in the range 2θ from 10° to 90°, sorted by position:
2θ/deg	I/Imax	hkl
18.02	244	1 1 0
18.44	255	0 1 2
38.86	1000	1 3 1
39.28	292	0 3 3
40.11	249	0 1 5
41.20	321	4 -1 2
41.80	609	3 -1 4
43.53	138	2 2 3
44.29	369	2 0 5
47.11	156	3 2 1
49.13	147	2 3 2
70.03	192	5 -4 6


No. 4
Structure and computed powder diffraction line list of Ti2Ga2Pd5 (DFT lattice parameters and positions (GGA-PBE); Cu Ka).

a b c (Å): 12.9886 7.4502 6.0812
angles (deg): 90.00 90.00 90.00
Space group Ima2 (No. 46)
Symmetry-distinct sites (fractional):
Ti1 0.1222 0.0137 0.0000
Ga1 0.0000 0.0000 0.6265
Ga2 0.2500 0.5089 0.8668
Pd1 0.0418 0.1921 0.3037
Pd2 0.1511 0.7030 0.1568
Pd3 0.2500 0.1780 0.7178

Principal peaks in the range 2θ from 10° to 90°, sorted by position:
2θ/deg	I/Imax	hkl
29.37	308	0 0 2
32.54	315	1 1 2
33.52	391	4 1 1
35.04	430	3 2 1
36.64	1000	5 1 0
38.18	714	0 2 2
40.72	854	2 2 2
41.67	973	2 3 1
46.42	268	0 1 3
47.64	558	5 1 2
48.55	290	4 3 1
55.82	222	3 4 1


No. 5
Structure and computed powder diffraction line list of Ti7Ga2Pd2 (DFT lattice parameters and positions (GGA-PBE); Cu Ka).

a b c (Å): 5.3932 5.4150 7.4184
angles (deg): 73.35 75.04 64.65
Space group P-1 (No. 2)
Symmetry-distinct sites (fractional):
Ti1 0.0000 0.0000 0.0000
Ti2 0.0803 0.5382 0.6849
Ti3 0.4013 0.9127 0.2594
Ti4 0.4602 0.3557 0.3431
Ga1 0.3082 0.3956 0.0031
Pd1 0.1043 0.0862 0.6150

Principal peaks in the range 2θ from 10° to 90°, sorted by position:
2θ/deg	I/Imax	hkl
24.51	404	0 1 -1
30.96	526	1 -1 0
33.48	609	2 1 1
37.10	533	0 2 1
37.34	505	1 1 3
37.54	458	0 2 0
38.47	1000	0 0 3
39.47	524	2 2 1
41.05	730	1 -1 2
41.52	792	2 0 -1
42.07	635	2 0 2
43.78	553	1 2 3


No. 6
Structure and computed powder diffraction line list of Ti3Ga2Pd (DFT lattice parameters and positions (GGA-PBE); Cu Ka).

a b c (Å): 2.8427 2.8427 11.6279
angles (deg): 90.00 90.00 90.00
Space group P4/mmm (No. 123)
Symmetry-distinct sites (fractional):
Ti1 0.0000 0.0000 0.0000
Ti2 0.0000 0.0000 0.3341
Ga1 0.5000 0.5000 0.1682
Pd1 0.5000 0.5000 0.5000

Principal peaks in the range 2θ from 10° to 90°, sorted by position:
2θ/deg	I/Imax	hkl
22.94	78	0 0 3
31.47	74	1 0 0
39.30	1000	1 0 3
45.10	332	1 1 0
46.88	147	0 0 6
51.19	41	1 1 3
57.56	29	1 0 6
65.69	101	2 0 0
67.09	190	1 1 6
79.31	230	2 1 3
81.90	105	1 0 9
84.54	98	2 0 6


No. 7
Structure and computed powder diffraction line list of TlGaPd4 (DFT lattice parameters and positions (GGA-PBE); Cu Ka).

a b c (Å): 7.3118 3.1438 17.4005
angles (deg): 90.00 90.00 90.00
Space group Pnma (No. 62)
Symmetry-distinct sites (fractional):
Tl1 0.2199 0.2500 0.1871
Ga1 0.2498 0.2500 0.9503
Pd1 0.0247 0.7500 0.5674
Pd2 0.0398 0.7500 0.2980
Pd3 0.1116 0.7500 0.0543
Pd4 0.1499 0.7500 0.8436

Principal peaks in the range 2θ from 10° to 90°, sorted by position:
2θ/deg	I/Imax	hkl
37.25	256	3 0 1
37.37	1000	1 1 4
38.11	373	2 1 1
38.59	265	0 1 5
40.59	215	1 1 5
40.93	400	2 1 3
41.52	407	0 0 8
42.52	569	3 0 4
46.16	240	2 1 5
48.35	204	1 1 7
58.74	250	0 2 0
75.16	208	3 2 4


No. 8
Structure and computed powder diffraction line list of TlGa11Pd (DFT lattice parameters and positions (GGA-PBE); Cu Ka).

a b c (Å): 5.3079 12.5960 7.9107
angles (deg): 90.00 101.66 90.00
Space group C2/m (No. 12)
Symmetry-distinct sites (fractional):
Tl1 0.0000 0.0000 0.0000
Ga1 0.0000 0.0000 0.5000
Ga2 0.1369 0.3884 0.2391
Ga3 0.2041 0.1743 0.3644
Ga4 0.2500 0.2500 0.0000
Pd1 0.0000 0.5000 0.5000

Principal peaks in the range 2θ from 10° to 90°, sorted by position:
2θ/deg	I/Imax	hkl
23.54	349	1 1 1
31.03	364	1 3 1
32.28	443	1 1 2
33.57	264	1 3 -2
36.28	445	1 1 -3
36.78	1000	0 4 2
37.43	631	2 2 0
39.76	196	1 5 0
40.31	441	2 2 -2
40.46	365	1 5 -1
44.91	203	2 4 -1
70.55	186	2 6 -4


No. 9
Structure and computed powder diffraction line list of Tm2Ga3Pd4 (DFT lattice parameters and positions (GGA-PBE); Cu Ka).

a b c (Å): 5.5480 15.0526 7.6908
angles (deg): 90.00 90.00 90.00
Space group Cmce (No. 64)
Symmetry-distinct sites (fractional):
Tm1 0.0000 0.1092 0.0838
Ga1 0.0000 0.0000 0.5000
Ga2 0.2500 0.2312 0.7500
Pd1 0.0000 0.1817 0.4802
Pd2 0.2500 0.0587 0.7500

Principal peaks in the range 2θ from 10° to 90°, sorted by position:
2θ/deg	I/Imax	hkl
33.51	307	1 3 2
35.89	1000	1 5 1
36.44	442	2 2 1
37.05	511	0 2 3
37.72	234	0 6 1
40.08	836	2 0 2
40.39	218	2 4 0
43.05	163	0 6 2
59.92	218	3 5 1
61.59	191	2 6 3
67.52	213	4 0 0
71.25	192	2 10 0


No. 10
Structure and computed powder diffraction line list of Tm3Ga3Pd2 (DFT lattice parameters and positions (GGA-PBE); Cu Ka).

a b c (Å): 8.0936 14.7227 5.5241
angles (deg): 90.00 90.00 90.00
Space group Pnma (No. 62)
Symmetry-distinct sites (fractional):
Tm1 0.0403 0.1115 0.1230
Tm2 0.1860 0.2500 0.6290
Ga1 0.1727 0.7500 0.6313
Ga2 0.1950 0.0360 0.6085
Pd1 0.0886 0.6083 0.3736

Principal peaks in the range 2θ from 10° to 90°, sorted by position:
2θ/deg	I/Imax	hkl
31.22	230	1 4 1
32.90	1000	2 4 0
34.31	252	1 0 2
34.86	619	1 1 2
36.62	252	0 6 0
36.80	642	2 4 1
37.09	384	3 0 1
37.60	234	3 1 1
39.04	664	1 3 2
42.41	285	1 4 2
47.88	319	4 0 1
56.13	276	1 7 2


No. 11
Structure and computed powder diffraction line list of Tm2Ga3Pd (DFT lattice parameters and positions (GGA-PBE); Cu Ka).

a b c (Å): 10.2281 4.4110 7.0223
angles (deg): 90.00 132.03 90.00
Space group Cm (No. 8)
Symmetry-distinct sites (fractional):
Tm1 0.0000 0.0000 0.0000
Tm2 0.0825 0.0000 0.5884
Ga1 0.1989 0.5000 0.9936
Ga2 0.2039 0.5000 0.4061
Ga3 0.3758 0.0000 0.1907
Pd1 0.3736 0.0000 0.5820

Principal peaks in the range 2θ from 10° to 90°, sorted by position:
2θ/deg	I/Imax	hkl
23.35	437	1 1 0
33.44	394	1 1 1
33.86	276	3 1 -1
34.38	399	0 0 2
34.52	1000	1 1 -2
34.94	985	3 1 -2
35.21	401	4 0 -2
40.92	651	0 2 0
41.10	937	3 1 0
54.46	322	0 2 2
67.66	259	7 1 -3
74.67	281	3 3 0